# Sm6Al3Fe11
Calculated powder XRD pattern, Cu Kα X-rays. Input: a DFT-relaxed cell (PBE, Alexandria).
Lines closer than 0.1° are merged.

Largest 10 diffraction maxima, by angle, 10 to 90 degrees two-theta:
| d/Å | Position (°2θ) | I_rel |
| --- | --- | --- |
| 3.262 | 27.3 | 97 |
| 2.836 | 31.5 | 88 |
| 2.550 | 35.2 | 100 |
| 2.426 | 37.1 | 40 |
| 2.338 | 38.5 | 63 |
| 2.330 | 38.6 | 44 |
| 2.296 | 39.2 | 32 |
| 2.083 | 43.5 | 38 |
| 1.948 | 46.6 | 46 |
| 1.585 | 58.2 | 53 |

Structure:
```
data_Sm6Al3Fe11
_cell_length_a 12.8182
_cell_length_b 12.8182
_cell_length_c 12.8182
_cell_angle_alpha 143.34
_cell_angle_beta 143.34
_cell_angle_gamma 52.81
_space_group_name_H-M_alt 'P 1'
_space_group_IT_number 1
loop_
_space_group_symop_operation_xyz
'x,y,z'
loop_
_atom_site_label
_atom_site_type_symbol
_atom_site_fract_x
_atom_site_fract_y
_atom_site_fract_z
_atom_site_occupancy
Sm1 Sm 0.0000 0.0000 0.0000 1
Sm2 Sm 0.0849 0.2558 0.5000 1
Sm3 Sm 0.1298 0.9668 0.5000 1
Sm4 Sm 0.2116 0.2116 0.0000 1
Sm5 Sm 0.2558 0.7558 0.1709 1
Sm6 Sm 0.4668 0.6298 0.5000 1
Sm7 Sm 0.5000 0.5000 0.0000 1
Sm8 Sm 0.5849 0.0849 0.8291 1
Sm9 Sm 0.6298 0.1298 0.1630 1
Sm10 Sm 0.7116 0.7116 0.0000 1
Sm11 Sm 0.7558 0.5849 0.5000 1
Sm12 Sm 0.9668 0.4668 0.8370 1
Al1 Al 0.0819 0.5819 0.2605 1
Al2 Al 0.3215 0.8215 0.7395 1
Al3 Al 0.3564 0.3564 0.0000 1
Al4 Al 0.5819 0.3215 0.5000 1
Al5 Al 0.8215 0.0819 0.5000 1
Al6 Al 0.8564 0.8564 0.0000 1
Fe1 Fe 0.0365 0.3156 0.1419 1
Fe2 Fe 0.1052 0.6052 0.5000 1
Fe3 Fe 0.1232 0.6232 0.7270 1
Fe4 Fe 0.1736 0.8946 0.8581 1
Fe5 Fe 0.2247 0.3671 0.5000 1
Fe6 Fe 0.3156 0.1736 0.2790 1
Fe7 Fe 0.3392 0.4886 0.5000 1
Fe8 Fe 0.3671 0.8671 0.1425 1
Fe9 Fe 0.3946 0.6736 0.8581 1
Fe10 Fe 0.3962 0.1232 0.5000 1
Fe11 Fe 0.4886 0.9886 0.1493 1
Fe12 Fe 0.5365 0.3946 0.7210 1
Fe13 Fe 0.6052 0.1052 0.5000 1
Fe14 Fe 0.6232 0.8962 0.5000 1
Fe15 Fe 0.6736 0.8156 0.2790 1
Fe16 Fe 0.7247 0.2247 0.8575 1
Fe17 Fe 0.8156 0.5365 0.1419 1
Fe18 Fe 0.8392 0.3392 0.8507 1
Fe19 Fe 0.8671 0.7247 0.5000 1
Fe20 Fe 0.8946 0.0365 0.7210 1
Fe21 Fe 0.8962 0.3962 0.2730 1
Fe22 Fe 0.9886 0.8392 0.5000 1
```